Starting from a cell relaxed with PBE, the X-ray diffraction stick pattern of Ca2IO6 was computed for Cu Kα (weighted mean of Kα1 and Kα2).

Top 6 peaks for 10 to 90 degrees two-theta, most intense first:
d [Å], intensity
4.621, 100
2.842, 38
2.806, 32
2.399, 24
1.627, 22
1.984, 15

Structural model:
Cell lengths 5.6126, 5.6126, 8.1410 Å; angles 90.00, 90.00, 90.00 degrees
Fractional coordinates of all 18 atoms:
Ca 0.0000 0.5000 0.2500
Ca 0.0000 0.5000 0.7500
Ca 0.5000 0.0000 0.2500
Ca 0.5000 0.0000 0.7500
I 0.0000 0.0000 0.0000
I 0.5000 0.5000 0.5000
O 0.0000 0.0000 0.2320
O 0.0000 0.0000 0.7680
O 0.1374 0.3074 0.0000
O 0.1926 0.3626 0.5000
O 0.3074 0.8626 0.0000
O 0.3626 0.8074 0.5000
O 0.5000 0.5000 0.2680
O 0.5000 0.5000 0.7320
O 0.6374 0.1926 0.5000
O 0.6926 0.1374 0.0000
O 0.8074 0.6374 0.5000
O 0.8626 0.6926 0.0000



Starting from a cell relaxed with PBE, the X-ray diffraction stick pattern of CaPIO8 was computed for Cu Kα (weighted mean of Kα1 and Kα2).

Top 6 peaks for 10 to 90 degrees two-theta, most intense first:
d [Å], intensity
3.280, 100
4.661, 94
5.112, 61
5.071, 36
3.605, 32
3.325, 29

Structural model:
Cell lengths 7.0633, 7.9931, 6.9695 Å; angles 90.00, 109.71, 90.00 degrees
Fractional coordinates of all 22 atoms:
Ca 0.0000 0.1085 0.2500
Ca 0.0000 0.8915 0.7500
P 0.0000 0.2721 0.7500
P 0.0000 0.7279 0.2500
I 0.5000 0.3441 0.2500
I 0.5000 0.6559 0.7500
O 0.0487 0.1642 0.5947
O 0.0487 0.8358 0.0947
O 0.1690 0.4147 0.8544
O 0.1690 0.5853 0.3544
O 0.3171 0.2081 0.2971
O 0.3171 0.7919 0.7971
O 0.3658 0.3256 0.9247
O 0.3658 0.6744 0.4247
O 0.6342 0.3256 0.5753
O 0.6342 0.6744 0.0753
O 0.6829 0.2081 0.2029
O 0.6829 0.7919 0.7029
O 0.8310 0.4147 0.6456
O 0.8310 0.5853 0.1456
O 0.9513 0.1642 0.9053
O 0.9513 0.8358 0.4053



Starting from a cell relaxed with PBE, the X-ray diffraction stick pattern of CaPb2IO was computed for Cu Kα (weighted mean of Kα1 and Kα2).

Top 6 peaks for 10 to 90 degrees two-theta, most intense first:
d [Å], intensity
2.969, 100
2.833, 50
1.660, 37
1.743, 24
2.003, 18
4.006, 16

Structural model:
Cell lengths 5.6650, 5.6650, 4.4241 Å; angles 90.00, 90.00, 90.00 degrees
Fractional coordinates of all 5 atoms:
Ca 0.0000 0.0000 0.0000
Pb 0.0000 0.5000 0.5000
Pb 0.5000 0.0000 0.5000
I 0.5000 0.5000 0.0000
O 0.0000 0.0000 0.5000



Starting from a cell relaxed with PBE, the X-ray diffraction stick pattern of CaPb2IO6 was computed for Cu Kα (weighted mean of Kα1 and Kα2).

Top 6 peaks for 10 to 90 degrees two-theta, most intense first:
d [Å], intensity
3.011, 100
2.994, 99
4.244, 49
2.932, 49
3.069, 46
2.120, 44

Structural model:
Cell lengths 5.8632, 6.1387, 10.2941 Å; angles 90.00, 124.29, 90.00 degrees
Fractional coordinates of all 20 atoms:
Ca 0.0000 0.0000 0.0000
Ca 0.0000 0.5000 0.5000
Pb 0.2363 0.0428 0.7424
Pb 0.2363 0.4572 0.2424
Pb 0.7637 0.5428 0.7576
Pb 0.7637 0.9572 0.2576
I 0.5000 0.0000 0.5000
I 0.5000 0.5000 0.0000
O 0.1823 0.1817 0.4675
O 0.1823 0.3183 0.9675
O 0.2669 0.7301 0.4502
O 0.2669 0.7699 0.9502
O 0.3537 0.0360 0.2688
O 0.3537 0.4640 0.7688
O 0.6463 0.5360 0.2312
O 0.6463 0.9640 0.7312
O 0.7331 0.2301 0.0498
O 0.7331 0.2699 0.5498
O 0.8177 0.6817 0.0325
O 0.8177 0.8183 0.5325



Starting from a cell relaxed with PBE, the X-ray diffraction stick pattern of Ca2PmIO8 was computed for Cu Kα (weighted mean of Kα1 and Kα2).

Top 6 peaks for 10 to 90 degrees two-theta, most intense first:
d [Å], intensity
2.922, 100
3.392, 70
3.476, 69
5.171, 69
1.915, 45
2.804, 43

Structural model:
Cell lengths 4.5924, 7.0823, 5.1724 Å; angles 90.00, 91.41, 90.00 degrees
Fractional coordinates of all 12 atoms:
Ca 0.0000 0.2410 0.0000
Ca 0.0000 0.7590 0.0000
Pm 0.5000 0.5000 0.5000
I 0.5000 0.0000 0.5000
O 0.0511 0.5000 0.2681
O 0.1298 0.0000 0.3215
O 0.4010 0.1978 0.7300
O 0.4010 0.8022 0.7300
O 0.5990 0.1978 0.2700
O 0.5990 0.8022 0.2700
O 0.8702 0.0000 0.6785
O 0.9489 0.5000 0.7319



Starting from a cell relaxed with PBE, the X-ray diffraction stick pattern of Ca5Sb2PI was computed for Cu Kα (weighted mean of Kα1 and Kα2).

Top 6 peaks for 10 to 90 degrees two-theta, most intense first:
d [Å], intensity
3.800, 100
3.059, 52
2.667, 45
2.731, 43
4.283, 42
2.646, 36

Structural model:
Cell lengths 9.0283, 9.0283, 9.0283 Å; angles 145.92, 129.31, 62.50 degrees
Fractional coordinates of all 9 atoms:
Ca 0.0000 0.0000 0.0000
Ca 0.0785 0.3534 0.7252
Ca 0.3718 0.6466 0.7252
Ca 0.6282 0.3534 0.2748
Ca 0.9215 0.6466 0.2748
Sb 0.2068 0.2068 0.0000
Sb 0.7932 0.7932 0.0000
P 0.0000 0.5000 0.5000
I 0.5000 0.0000 0.5000



Starting from a cell relaxed with PBE, the X-ray diffraction stick pattern of CaPbI4 was computed for Cu Kα (weighted mean of Kα1 and Kα2).

Top 6 peaks for 10 to 90 degrees two-theta, most intense first:
d [Å], intensity
3.536, 100
3.144, 73
7.681, 57
2.433, 40
2.277, 32
2.767, 28

Structural model:
Cell lengths 4.5923, 15.9663, 15.3611 Å; angles 90.00, 90.00, 90.00 degrees
Fractional coordinates of all 24 atoms:
Ca 0.0000 0.0159 0.9996
Ca 0.0000 0.2300 0.5000
Ca 0.5000 0.7700 0.0000
Ca 0.5000 0.9841 0.4996
Pb 0.0000 0.5193 0.9984
Pb 0.0000 0.7338 0.4995
Pb 0.5000 0.2662 0.9995
Pb 0.5000 0.4807 0.4984
I 0.0000 0.0657 0.3856
I 0.0000 0.1768 0.8802
I 0.0000 0.3516 0.1219
I 0.0000 0.3916 0.6181
I 0.0000 0.5655 0.3759
I 0.0000 0.6911 0.8838
I 0.0000 0.8516 0.1142
I 0.0000 0.9044 0.6155
I 0.5000 0.0956 0.1155
I 0.5000 0.1484 0.6142
I 0.5000 0.3089 0.3838
I 0.5000 0.4345 0.8759
I 0.5000 0.6084 0.1181
I 0.5000 0.6484 0.6219
I 0.5000 0.8232 0.3802
I 0.5000 0.9343 0.8856



Starting from a cell relaxed with PBE, the X-ray diffraction stick pattern of CaPb3I8 was computed for Cu Kα (weighted mean of Kα1 and Kα2).

Top 6 peaks for 10 to 90 degrees two-theta, most intense first:
d [Å], intensity
3.286, 100
2.322, 77
7.564, 67
3.267, 49
3.959, 40
2.313, 38

Structural model:
Cell lengths 9.2535, 9.2535, 9.3040 Å; angles 119.97, 119.97, 60.24 degrees
Fractional coordinates of all 12 atoms:
Ca 0.0000 0.0000 0.0000
Pb 0.0000 0.5000 0.5000
Pb 0.5000 0.0000 0.5000
Pb 0.5000 0.5000 0.0000
I 0.2424 0.2424 0.2453
I 0.2425 0.7574 0.7603
I 0.2426 0.7575 0.2397
I 0.2499 0.2499 0.7473
I 0.7501 0.7501 0.2527
I 0.7574 0.2425 0.7603
I 0.7575 0.2426 0.2397
I 0.7576 0.7576 0.7547



Starting from a cell relaxed with PBE, the X-ray diffraction stick pattern of CaPbI6 was computed for Cu Kα (weighted mean of Kα1 and Kα2).

Top 6 peaks for 10 to 90 degrees two-theta, most intense first:
d [Å], intensity
3.212, 100
3.330, 62
4.890, 62
3.046, 59
4.063, 54
3.908, 51

Structural model:
Cell lengths 12.8475, 12.6898, 15.5442 Å; angles 52.97, 52.05, 74.99 degrees
Fractional coordinates of all 32 atoms:
Ca 0.0055 0.4945 0.2306
Ca 0.0194 0.9806 0.2445
Ca 0.4945 0.0055 0.2694
Ca 0.9806 0.0194 0.7555
Pb 0.0673 0.7697 0.6089
Pb 0.6411 0.6959 0.1827
Pb 0.6959 0.6411 0.4803
Pb 0.7697 0.0673 0.5541
I 0.0075 0.6766 0.3092
I 0.0729 0.2293 0.7439
I 0.0822 0.4973 0.8288
I 0.2293 0.0729 0.9539
I 0.2404 0.9843 0.2795
I 0.2433 0.9408 0.5734
I 0.2519 0.4384 0.4557
I 0.2961 0.5061 0.0207
I 0.3960 0.7943 0.8116
I 0.4212 0.6583 0.1678
I 0.4372 0.6946 0.4440
I 0.4384 0.2519 0.8540
I 0.4973 0.0822 0.5917
I 0.5061 0.2961 0.1771
I 0.6583 0.4212 0.7527
I 0.6766 0.0075 0.0067
I 0.6946 0.4372 0.4242
I 0.7541 0.9705 0.2657
I 0.7943 0.3960 0.9981
I 0.8060 0.8258 0.8128
I 0.8258 0.8060 0.5554
I 0.9408 0.2433 0.2425
I 0.9705 0.7541 0.0096
I 0.9843 0.2404 0.4959



Starting from a cell relaxed with PBE, the X-ray diffraction stick pattern of Ca3Pb3I14 was computed for Cu Kα (weighted mean of Kα1 and Kα2).

Top 6 peaks for 10 to 90 degrees two-theta, most intense first:
d [Å], intensity
7.756, 100
3.373, 92
2.427, 49
3.487, 46
2.836, 41
2.241, 38

Structural model:
Cell lengths 17.1658, 4.4827, 24.3452 Å; angles 90.00, 104.23, 90.00 degrees
Fractional coordinates of all 40 atoms:
Ca 0.0625 0.2500 0.3135
Ca 0.2930 0.7500 0.0371
Ca 0.3906 0.2500 0.6348
Ca 0.6094 0.7500 0.3652
Ca 0.7070 0.2500 0.9629
Ca 0.9375 0.7500 0.6865
Pb 0.1225 0.2500 0.8609
Pb 0.2378 0.7500 0.4780
Pb 0.4619 0.2500 0.2070
Pb 0.5381 0.7500 0.7930
Pb 0.7622 0.2500 0.5220
Pb 0.8775 0.7500 0.1391
I 0.0453 0.2500 0.6521
I 0.0570 0.7500 0.2095
I 0.0911 0.7500 0.9453
I 0.1013 0.2500 0.4588
I 0.1544 0.7500 0.7774
I 0.1851 0.2500 0.0716
I 0.2084 0.7500 0.3435
I 0.2578 0.7500 0.6151
I 0.2999 0.2500 0.9357
I 0.3256 0.7500 0.1845
I 0.3814 0.2500 0.5032
I 0.3950 0.2500 0.7658
I 0.4395 0.2500 0.0733
I 0.4761 0.2500 0.3438
I 0.5239 0.7500 0.6562
I 0.5605 0.7500 0.9267
I 0.6050 0.7500 0.2342
I 0.6186 0.7500 0.4968
I 0.6744 0.2500 0.8155
I 0.7001 0.7500 0.0643
I 0.7422 0.2500 0.3849
I 0.7916 0.2500 0.6565
I 0.8149 0.7500 0.9284
I 0.8456 0.2500 0.2226
I 0.8987 0.7500 0.5412
I 0.9089 0.2500 0.0547
I 0.9430 0.2500 0.7905
I 0.9547 0.7500 0.3479



Starting from a cell relaxed with PBE, the X-ray diffraction stick pattern of Rb2CaPmI6 was computed for Cu Kα (weighted mean of Kα1 and Kα2).

Top 6 peaks for 10 to 90 degrees two-theta, most intense first:
d [Å], intensity
3.114, 100
2.202, 46
3.588, 43
3.603, 41
6.228, 35
1.880, 20

Structural model:
Cell lengths 8.7738, 12.4677, 8.8318 Å; angles 90.00, 90.00, 90.00 degrees
Fractional coordinates of all 20 atoms:
Rb 0.2500 0.0356 0.2204
Rb 0.2500 0.4644 0.2204
Rb 0.7500 0.5356 0.7796
Rb 0.7500 0.9644 0.7796
Ca 0.2500 0.2500 0.7389
Ca 0.7500 0.7500 0.2611
Pm 0.2500 0.7500 0.7582
Pm 0.7500 0.2500 0.2418
I 0.0008 0.2500 0.9895
I 0.0091 0.2500 0.4834
I 0.2500 0.0010 0.7604
I 0.2500 0.4990 0.7604
I 0.4909 0.2500 0.4834
I 0.4992 0.2500 0.9895
I 0.5008 0.7500 0.0105
I 0.5091 0.7500 0.5166
I 0.7500 0.5010 0.2396
I 0.7500 0.9990 0.2396
I 0.9909 0.7500 0.5166
I 0.9992 0.7500 0.0105